Ac2TbPr6: calculated powder diffractogram (Cu Kα X-rays), based on the GGA-PBE geometry in Alexandria.
No peak broadening, texture or thermal motion is included.

Peak list (10 most intense, 10 to 90 degrees two-theta, low angle first)
| 2θ/deg | I/Imax |
| --- | --- |
| 27.3 | 43 |
| 28.9 | 43 |
| 29.0 | 25 |
| 30.3 | 52 |
| 31.8 | 100 |
| 40.2 | 27 |
| 48.3 | 37 |
| 54.0 | 31 |
| 57.3 | 42 |
| 59.0 | 17 |

Cell and atoms:
Unit cell a=3.766 b=3.766 c=27.831 alpha=90.00 beta=90.00 gamma=120.00
Element x y z (fractional)
Ac 0.000 0.000 0.172
Ac 0.000 0.000 0.828
Tb 0.667 0.333 0.500
Pr 0.000 0.000 0.396
Pr 0.000 0.000 0.604
Pr 0.667 0.333 0.062
Pr 0.667 0.333 0.288
Pr 0.667 0.333 0.712
Pr 0.667 0.333 0.938



Nd3ScTe4: calculated powder diffractogram (Cu Kα X-rays), based on the GGA-PBE geometry in Alexandria.
No peak broadening, texture or thermal motion is included.

Peak list (10 most intense, 10 to 90 degrees two-theta, low angle first)
| 2θ/deg | I/Imax |
| --- | --- |
| 28.5 | 100 |
| 40.3 | 13 |
| 40.8 | 50 |
| 41.3 | 12 |
| 50.1 | 13 |
| 50.9 | 13 |
| 59.1 | 12 |
| 66.9 | 22 |
| 73.6 | 8 |
| 74.9 | 8 |

Cell and atoms:
Unit cell a=7.695 b=7.695 c=4.374 alpha=90.00 beta=90.00 gamma=108.90
Element x y z (fractional)
Nd 0.000 0.000 0.000
Nd 0.000 0.500 0.500
Nd 0.500 0.000 0.500
Sc 0.500 0.500 0.000
Te 0.259 0.741 0.000
Te 0.268 0.268 0.500
Te 0.732 0.732 0.500
Te 0.741 0.259 0.000



Sr3Mg2Zn2Ga4: calculated powder diffractogram (Cu Kα X-rays), based on the GGA-PBE geometry in Alexandria.
No peak broadening, texture or thermal motion is included.

Peak list (10 most intense, 10 to 90 degrees two-theta, low angle first)
| 2θ/deg | I/Imax |
| --- | --- |
| 25.1 | 17 |
| 27.9 | 28 |
| 31.5 | 100 |
| 39.6 | 68 |
| 44.4 | 11 |
| 51.5 | 25 |
| 56.5 | 13 |
| 61.0 | 24 |
| 66.8 | 22 |
| 71.8 | 11 |

Cell and atoms:
Unit cell a=4.553 b=4.553 c=16.328 alpha=90.00 beta=90.00 gamma=120.00
Element x y z (fractional)
Sr 0.000 0.000 0.000
Sr 0.000 0.000 0.261
Sr 0.000 0.000 0.739
Mg 0.333 0.667 0.558
Mg 0.667 0.333 0.442
Zn 0.333 0.667 0.131
Zn 0.667 0.333 0.869
Ga 0.333 0.667 0.383
Ga 0.333 0.667 0.872
Ga 0.667 0.333 0.128
Ga 0.667 0.333 0.617



Ac3Ge5Au6: calculated powder diffractogram (Cu Kα X-rays), based on the GGA-PBE geometry in Alexandria.
No peak broadening, texture or thermal motion is included.

Peak list (10 most intense, 10 to 90 degrees two-theta, low angle first)
| 2θ/deg | I/Imax |
| --- | --- |
| 29.1 | 14 |
| 32.4 | 49 |
| 32.8 | 100 |
| 39.7 | 26 |
| 39.8 | 31 |
| 48.0 | 16 |
| 52.2 | 24 |
| 57.4 | 18 |
| 60.5 | 16 |
| 67.6 | 13 |

Cell and atoms:
Unit cell a=4.531 b=13.636 c=10.439 alpha=90.00 beta=90.00 gamma=90.00
Element x y z (fractional)
Ac 0.250 0.080 0.250
Ac 0.250 0.420 0.250
Ac 0.250 0.750 0.248
Ac 0.750 0.250 0.752
Ac 0.750 0.580 0.750
Ac 0.750 0.920 0.750
Ge 0.250 0.085 0.866
Ge 0.250 0.415 0.866
Ge 0.250 0.616 0.519
Ge 0.250 0.750 0.841
Ge 0.250 0.884 0.519
Ge 0.750 0.116 0.481
Ge 0.750 0.250 0.159
Ge 0.750 0.384 0.481
Ge 0.750 0.585 0.134
Ge 0.750 0.915 0.134
Au 0.250 0.070 0.617
Au 0.250 0.250 0.008
Au 0.250 0.250 0.476
Au 0.250 0.430 0.617
Au 0.250 0.587 0.997
Au 0.250 0.913 0.997
Au 0.750 0.087 0.003
Au 0.750 0.413 0.003
Au 0.750 0.570 0.383
Au 0.750 0.750 0.524
Au 0.750 0.750 0.992
Au 0.750 0.930 0.383



Ca2InGa3: calculated powder diffractogram (Cu Kα X-rays), based on the GGA-PBE geometry in Alexandria.
No peak broadening, texture or thermal motion is included.

Peak list (10 most intense, 10 to 90 degrees two-theta, low angle first)
| 2θ/deg | I/Imax |
| --- | --- |
| 16.1 | 16 |
| 22.2 | 25 |
| 23.8 | 21 |
| 31.9 | 25 |
| 32.6 | 53 |
| 32.8 | 39 |
| 37.7 | 17 |
| 37.8 | 18 |
| 38.9 | 100 |
| 70.4 | 13 |

Cell and atoms:
Unit cell a=5.937 b=5.937 c=7.490 alpha=128.75 beta=128.75 gamma=45.94
Element x y z (fractional)
Ca 0.000 0.000 0.000
Ca 0.091 0.091 0.596
In 0.705 0.705 0.402
Ga 0.374 0.374 0.198
Ga 0.395 0.395 0.594
Ga 0.709 0.709 0.009



CeAsH2Pd: calculated powder diffractogram (Cu Kα X-rays), based on the GGA-PBE geometry in Alexandria.
No peak broadening, texture or thermal motion is included.

Peak list (10 most intense, 10 to 90 degrees two-theta, low angle first)
| 2θ/deg | I/Imax |
| --- | --- |
| 27.3 | 65 |
| 32.4 | 51 |
| 34.1 | 38 |
| 34.6 | 23 |
| 36.4 | 100 |
| 36.8 | 74 |
| 37.3 | 36 |
| 44.7 | 34 |
| 54.8 | 23 |
| 57.3 | 23 |

Cell and atoms:
Unit cell a=5.568 b=5.568 c=6.521 alpha=90.00 beta=90.00 gamma=137.32
Element x y z (fractional)
Ce 0.215 0.785 0.750
Ce 0.785 0.215 0.250
As 0.067 0.933 0.250
As 0.933 0.067 0.750
H 0.331 0.669 0.065
H 0.331 0.669 0.435
H 0.669 0.331 0.565
H 0.669 0.331 0.935
Pd 0.500 0.500 0.000
Pd 0.500 0.500 0.500



Li3Sn2Pb: calculated powder diffractogram (Cu Kα X-rays), based on the GGA-PBE geometry in Alexandria.
No peak broadening, texture or thermal motion is included.

Peak list (10 most intense, 10 to 90 degrees two-theta, low angle first)
| 2θ/deg | I/Imax |
| --- | --- |
| 25.5 | 100 |
| 25.7 | 48 |
| 36.4 | 47 |
| 36.5 | 91 |
| 45.1 | 45 |
| 52.4 | 17 |
| 59.1 | 21 |
| 59.3 | 20 |
| 59.6 | 19 |
| 65.6 | 35 |

Cell and atoms:
Unit cell a=3.493 b=3.493 c=10.384 alpha=90.00 beta=90.00 gamma=90.00
Element x y z (fractional)
Li 0.000 0.000 0.000
Li 0.000 0.000 0.320
Li 0.000 0.000 0.680
Sn 0.500 0.500 0.160
Sn 0.500 0.500 0.840
Pb 0.500 0.500 0.500